Diffraction record for PaTl3Sn2O9. The PXRD pattern is simulated, not measured: it uses a structure optimized by DFT (GGA-PBE) and Cu Ka.
Neutral-atom scattering factors, no anomalous dispersion.

Cell and atoms:
```
PaTl3Sn2O9
1.0
5.9516 0.0000 0.0000
-2.9758 5.1543 0.0000
0.0000 0.0000 7.3740
Pa Tl Sn O
1 3 2 9
Direct
0.0000 0.0000 0.0000
0.0000 0.0000 0.5000
0.3333 0.6667 0.2020
0.6667 0.3333 0.7980
0.3333 0.6667 0.6639
0.6667 0.3333 0.3361
0.0000 0.5000 0.5000
0.1684 0.3368 0.8248
0.1684 0.8316 0.8248
0.3368 0.1684 0.1752
0.5000 0.0000 0.5000
0.5000 0.5000 0.5000
0.6632 0.8316 0.8248
0.8316 0.1684 0.1752
0.8316 0.6632 0.1752
```

The 10 most intense peaks (10 to 90 degrees two-theta), sorted by position:
| d [Å] | Rel. int. |
| --- | --- |
| 2.999 | 100 |
| 2.976 | 99 |
| 2.112 | 54 |
| 1.736 | 16 |
| 1.722 | 42 |
| 1.718 | 21 |
| 1.499 | 14 |
| 1.488 | 17 |
| 1.339 | 14 |
| 1.333 | 18 |

Diffraction record for Ac3In8Cu3. The PXRD pattern is simulated, not measured: it uses a structure optimized by DFT (GGA-PBE) and Cu Ka.
Neutral-atom scattering factors, no anomalous dispersion.

Cell and atoms:
```
Ac3In8Cu3
1.0
8.8090 -2.4510 0.0000
8.8090 2.4510 0.0000
-5.7973 0.0000 8.3332
Ac In Cu
3 8 3
Direct
0.0000 0.0000 0.0000
0.2927 0.2927 0.2997
0.7073 0.7073 0.7003
0.1398 0.1398 0.8479
0.1494 0.1494 0.4252
0.3492 0.3492 0.9656
0.4941 0.4941 0.6752
0.5059 0.5059 0.3248
0.6508 0.6508 0.0344
0.8506 0.8506 0.5748
0.8602 0.8602 0.1521
0.0000 0.0000 0.5000
0.3439 0.3439 0.6960
0.6561 0.6561 0.3040
```

The 10 most intense peaks (10 to 90 degrees two-theta), sorted by position:
| d [Å] | Rel. int. |
| --- | --- |
| 2.936 | 23 |
| 2.852 | 79 |
| 2.840 | 100 |
| 2.798 | 75 |
| 2.785 | 59 |
| 2.603 | 26 |
| 2.451 | 76 |
| 2.410 | 30 |
| 1.519 | 26 |
| 1.480 | 25 |

Diffraction record for Pm2TmIO8. The PXRD pattern is simulated, not measured: it uses a structure optimized by DFT (GGA-PBE) and Cu Ka.
Neutral-atom scattering factors, no anomalous dispersion.

Cell and atoms:
```
Pm2TmIO8
1.0
3.5848 -3.6682 0.0000
3.5848 3.6682 0.0000
0.0000 0.0000 6.8838
Pm Tm I O
2 1 1 8
Direct
0.0000 0.0000 0.2496
0.0000 0.0000 0.7504
0.5000 0.5000 0.0000
0.5000 0.5000 0.5000
0.1994 0.1994 0.0000
0.2370 0.2370 0.5000
0.3246 0.6754 0.2912
0.3246 0.6754 0.7088
0.6754 0.3246 0.2912
0.6754 0.3246 0.7088
0.7630 0.7630 0.5000
0.8006 0.8006 0.0000
```

The 10 most intense peaks (10 to 90 degrees two-theta), sorted by position:
| d [Å] | Rel. int. |
| --- | --- |
| 3.668 | 61 |
| 3.585 | 53 |
| 2.858 | 100 |
| 2.564 | 30 |
| 1.921 | 42 |
| 1.896 | 36 |
| 1.558 | 11 |
| 1.531 | 22 |
| 1.429 | 11 |
| 1.176 | 15 |

Diffraction record for Y2Si2O7. The PXRD pattern is simulated, not measured: it uses a structure optimized by DFT (GGA-PBE) and Cu Ka.
Neutral-atom scattering factors, no anomalous dispersion.

Cell and atoms:
```
Y2Si2O7
1.0
5.1182 0.0000 0.0000
0.0000 8.1271 0.0000
-2.1852 0.0000 7.1222
Y Si O
4 4 14
Direct
0.0000 0.0000 0.0000
0.0000 0.5000 0.0000
0.5000 0.0000 0.5000
0.5000 0.5000 0.5000
0.0233 0.2500 0.6063
0.3984 0.7500 0.8170
0.6016 0.2500 0.1830
0.9767 0.7500 0.3937
0.0386 0.5803 0.2976
0.0386 0.9197 0.2976
0.1803 0.7500 0.9377
0.2446 0.7500 0.5853
0.3135 0.2500 0.5576
0.4220 0.0825 0.1697
0.4220 0.4175 0.1697
0.5780 0.5825 0.8303
0.5780 0.9175 0.8303
0.6865 0.7500 0.4424
0.7554 0.2500 0.4147
0.8197 0.2500 0.0623
0.9614 0.0803 0.7024
0.9614 0.4197 0.7024
```

The 10 most intense peaks (10 to 90 degrees two-theta), sorted by position:
| d [Å] | Rel. int. |
| --- | --- |
| 4.733 | 36 |
| 3.567 | 61 |
| 3.266 | 28 |
| 3.083 | 100 |
| 2.681 | 45 |
| 2.447 | 23 |
| 2.435 | 24 |
| 2.096 | 24 |
| 2.089 | 24 |
| 1.765 | 31 |